No. 1
Starting from a cell relaxed with PBE, the XRD peak list of Cs4Rb3O2 was simulated for Cu Kα X-rays.
No peak broadening, texture or thermal motion is included.

Atomic structure:
a = 20.816 Å, b = 15.919 Å, c = 7.710 Å
α = 90.00°, β = 110.43°, γ = 90.00°
Space group C2/c (No. 15)
Asymmetric unit:
Cs: 0.175 0.177 0.379
Cs: 0.242 0.136 0.935
Rb: 0.000 0.089 0.750
Rb: 0.096 0.359 0.600
O: 0.213 0.278 0.716

Main lines, in order of rising 2θ (2θ from 15° to 90°):
2θ/deg	I (rel.)	hkl
21.2	100	4 2 -1
22.1	66	3 1 1
22.3	59	0 4 0
24.1	55	1 1 -2
28.9	67	1 3 -2
39.4	42	9 1 -1

=====

No. 2
Starting from a cell relaxed with PBE, the XRD peak list of Zr3V was simulated for Cu Kα X-rays.
No peak broadening, texture or thermal motion is included.

Atomic structure:
a = 6.3318 Å, b = 6.3318 Å, c = 4.8985 Å
α = 90.00°, β = 90.00°, γ = 120.00°
Space group P6_3/mmc (No. 194)
Asymmetric unit:
Zr: 0.1731 0.3462 0.2500
V: 0.3333 0.6667 0.7500

Main lines, in order of rising 2θ (2θ from 15° to 90°):
2θ/deg	I (rel.)	hkl
32.7	25	2 0 0
36.7	24	0 0 2
37.6	100	2 0 1
58.3	19	2 2 0
66.7	17	2 0 3
70.9	19	2 2 2

=====

No. 3
Starting from a cell relaxed with PBE, the XRD peak list of Cs2PmIrO6 was simulated for Cu Kα X-rays.
No peak broadening, texture or thermal motion is included.

Atomic structure:
a = 6.6947 Å, b = 6.6947 Å, c = 5.9477 Å
α = 90.00°, β = 90.00°, γ = 120.00°
Space group P-3m1 (No. 164)
Asymmetric unit:
Cs: 0.3333 0.6667 0.1309
Pm: 0.0000 0.0000 0.5000
Ir: 0.0000 0.0000 0.0000
O: 0.1321 0.2643 0.7998

Main lines, in order of rising 2θ (2θ from 15° to 90°):
2θ/deg	I (rel.)	hkl
15.3	71	1 0 0
21.4	24	1 0 1
26.6	100	1 1 0
33.9	46	0 1 2
43.6	34	2 0 2
51.8	34	1 2 2

=====

Q: What is the formula in the first record?
A: Cs4Rb3O2